# 1
The following is a calculated XRD peak list of Sr3Li2Mg2Tl4. It was derived from a DFT-relaxed cell (PBE, Alexandria), using Cu Kα X-rays.

Main lines, by intensity (10 to 90 degrees two-theta):
| two_theta | I/Imax |
| --- | --- |
| 23.31 | 100.0 |
| 33.82 | 63.8 |
| 32.57 | 49.1 |
| 41.48 | 22.8 |
| 54.55 | 20.8 |
| 47.66 | 18.7 |

Structural model:
a = 5.301 Å, b = 5.301 Å, c = 13.733 Å
α = 90.00°, β = 90.00°, γ = 120.00°
Positions (direct):
Sr 0.000 0.000 0.000
Sr 0.000 0.000 0.280
Sr 0.000 0.000 0.720
Li 0.333 0.667 0.148
Li 0.667 0.333 0.852
Mg 0.333 0.667 0.582
Mg 0.667 0.333 0.418
Tl 0.333 0.667 0.370
Tl 0.333 0.667 0.850
Tl 0.667 0.333 0.150
Tl 0.667 0.333 0.630

=====

# 2
The following is a calculated XRD peak list of AcCePaO6. It was derived from a DFT-relaxed cell (PBE, Alexandria), using Cu Kα X-rays.

Main lines, by intensity (10 to 90 degrees two-theta):
| two_theta | I/Imax |
| --- | --- |
| 23.80 | 100.0 |
| 29.46 | 98.0 |
| 45.52 | 74.8 |
| 33.90 | 29.8 |
| 57.95 | 21.4 |
| 55.41 | 20.3 |

Structural model:
a = 5.288 Å, b = 5.288 Å, c = 11.100 Å
α = 90.00°, β = 90.00°, γ = 90.00°
Positions (direct):
Ac 0.000 0.000 0.000
Ac 0.500 0.500 0.500
Ce 0.000 0.000 0.333
Ce 0.500 0.500 0.833
Pa 0.000 0.000 0.666
Pa 0.500 0.500 0.166
O 0.171 0.171 0.504
O 0.195 0.195 0.814
O 0.205 0.205 0.179
O 0.295 0.705 0.679
O 0.305 0.695 0.314
O 0.329 0.671 0.004
O 0.671 0.329 0.004
O 0.695 0.305 0.314
O 0.705 0.295 0.679
O 0.795 0.795 0.179
O 0.805 0.805 0.814
O 0.829 0.829 0.504

=====

# 3
The following is a calculated XRD peak list of Ac8TlOs2. It was derived from a DFT-relaxed cell (PBE, Alexandria), using Cu Kα X-rays.

Main lines, by intensity (10 to 90 degrees two-theta):
| two_theta | I/Imax |
| --- | --- |
| 29.14 | 100.0 |
| 31.71 | 97.8 |
| 29.92 | 80.8 |
| 30.16 | 79.1 |
| 26.96 | 72.9 |
| 34.73 | 52.0 |

Structural model:
a = 8.567 Å, b = 8.567 Å, c = 6.137 Å
α = 97.21°, β = 97.21°, γ = 112.86°
Positions (direct):
Ac 0.000 0.000 0.000
Ac 0.053 0.317 0.630
Ac 0.135 0.634 0.208
Ac 0.317 0.053 0.630
Ac 0.453 0.717 0.785
Ac 0.634 0.135 0.208
Ac 0.717 0.453 0.785
Ac 0.776 0.776 0.422
Tl 0.389 0.389 0.209
Os 0.081 0.690 0.709
Os 0.690 0.081 0.709

=====

# 4
The following is a calculated XRD peak list of LaMg2Br6. It was derived from a DFT-relaxed cell (PBE, Alexandria), using Cu Kα X-rays.

Main lines, by intensity (10 to 90 degrees two-theta):
| two_theta | I/Imax |
| --- | --- |
| 29.51 | 100.0 |
| 27.21 | 97.6 |
| 43.09 | 66.9 |
| 31.84 | 55.7 |
| 24.56 | 54.8 |
| 44.48 | 49.7 |

Structural model:
a = 7.490 Å, b = 7.490 Å, c = 11.839 Å
α = 96.54°, β = 96.54°, γ = 31.02°
Positions (direct):
La 0.000 0.000 0.000
Mg 0.284 0.284 0.274
Mg 0.716 0.716 0.726
Br 0.110 0.110 0.232
Br 0.155 0.155 0.611
Br 0.362 0.362 0.089
Br 0.638 0.638 0.911
Br 0.845 0.845 0.389
Br 0.890 0.890 0.768

=====

# 5
The following is a calculated XRD peak list of In2FeSe. It was derived from a DFT-relaxed cell (PBE, Alexandria), using Cu Kα X-rays.

Main lines, by intensity (10 to 90 degrees two-theta):
| two_theta | I/Imax |
| --- | --- |
| 30.17 | 100.0 |
| 35.98 | 71.5 |
| 37.15 | 54.5 |
| 29.80 | 51.5 |
| 40.35 | 38.5 |
| 41.20 | 36.6 |

Structural model:
a = 9.682 Å, b = 3.134 Å, c = 6.146 Å
α = 90.00°, β = 112.54°, γ = 90.00°
Positions (direct):
In 0.000 0.000 0.000
In 0.182 0.000 0.655
In 0.500 0.500 0.000
In 0.682 0.500 0.655
Fe 0.445 0.000 0.615
Fe 0.945 0.500 0.615
Se 0.348 0.500 0.319
Se 0.848 0.000 0.319

=====

# 6
The following is a calculated XRD peak list of Mg3Bi2As2O12. It was derived from a DFT-relaxed cell (PBE, Alexandria), using Cu Kα X-rays.

Main lines, by intensity (10 to 90 degrees two-theta):
| two_theta | I/Imax |
| --- | --- |
| 28.79 | 100.0 |
| 13.04 | 88.7 |
| 31.01 | 66.1 |
| 21.38 | 49.3 |
| 22.20 | 39.3 |
| 50.14 | 23.5 |

Structural model:
a = 7.547 Å, b = 5.466 Å, c = 7.553 Å
α = 90.00°, β = 115.94°, γ = 90.00°
Positions (direct):
Mg 0.000 0.000 0.000
Mg 0.176 0.500 0.594
Mg 0.377 0.000 0.400
Bi 0.489 0.000 0.871
Bi 0.640 0.500 0.660
As 0.315 0.500 0.139
As 0.915 0.000 0.536
O 0.078 0.000 0.782
O 0.210 0.239 0.178
O 0.210 0.761 0.178
O 0.313 0.500 0.911
O 0.392 0.250 0.612
O 0.392 0.750 0.612
O 0.555 0.500 0.322
O 0.676 0.000 0.508
O 0.759 0.228 0.915
O 0.759 0.772 0.915
O 0.964 0.255 0.434
O 0.964 0.745 0.434